1.
Diffraction record for K2MoHO2F4. The powder diffractogram is theoretical, not measured: it uses a DFT-relaxed cell (PBE+U, the Materials Project) and copper Kα.
Kinematic intensities with the Lorentz-polarization factor, no thermal factor.

Cell and atoms:
```
data_K2MoHO2F4
_cell_length_a 6.292
_cell_length_b 6.296
_cell_length_c 18.301
_cell_angle_alpha 90.00
_cell_angle_beta 95.15
_cell_angle_gamma 90.00
_symmetry_space_group_name_H-M 'P 1 21/c 1'
_symmetry_Int_Tables_number 14
_symmetry_space_group_name_Hall '-P 2ybc'
loop_
_atom_site_label
_atom_site_type_symbol
_atom_site_fract_x
_atom_site_fract_y
_atom_site_fract_z
K1 K 0.199 0.168 0.103
K2 K 0.252 0.649 0.251
Mo1 Mo 0.297 0.155 0.370
H1 H 0.220 0.681 0.491
O1 O 0.269 0.177 0.463
O2 O 0.498 0.030 0.635
F1 F 0.050 0.129 0.845
F2 F 0.067 0.557 0.847
F3 F 0.284 0.183 0.255
F4 F 0.482 0.093 0.865
```

Largest 10 diffraction maxima, low angle first, 15 to 90 degrees two-theta:
hkl 1 0 -2, 2θ 16.43, I 40
hkl 0 1 2, 2θ 17.12, I 52
hkl 1 0 2, 2θ 17.88, I 32
hkl 0 0 4, 2θ 19.48, I 64
hkl 1 1 0, 2θ 19.99, I 100
hkl 1 1 -1, 2θ 20.29, I 29
hkl 1 1 -4, 2θ 27.13, I 54
hkl 0 2 1, 2θ 28.78, I 30
hkl 1 1 4, 2θ 28.95, I 35
hkl 2 2 -1, 2θ 40.61, I 75


2.
Diffraction record for CeBMoO6. The powder diffractogram is theoretical, not measured: it uses a DFT-relaxed cell (PBE+U, the Materials Project) and copper Kα.
Kinematic intensities with the Lorentz-polarization factor, no thermal factor.

Cell and atoms:
```
data_CeBMoO6
_cell_length_a 10.326
_cell_length_b 4.174
_cell_length_c 12.062
_cell_angle_alpha 90.00
_cell_angle_beta 116.15
_cell_angle_gamma 90.00
_symmetry_space_group_name_H-M 'P 1 21/c 1'
_symmetry_Int_Tables_number 14
_symmetry_space_group_name_Hall '-P 2ybc'
loop_
_atom_site_label
_atom_site_type_symbol
_atom_site_fract_x
_atom_site_fract_y
_atom_site_fract_z
Ce1 Ce 0.198 0.215 0.032
B1 B 0.004 0.666 0.809
Mo1 Mo 0.355 0.693 0.819
O1 O 0.003 0.730 0.414
O2 O 0.031 0.160 0.300
O3 O 0.256 0.723 0.150
O4 O 0.264 0.725 0.415
O5 O 0.338 0.235 0.302
O6 O 0.455 0.233 0.107
```

Largest 10 diffraction maxima, low angle first, 15 to 90 degrees two-theta:
hkl 2 0 0, 2θ 19.15, I 25
hkl 3 0 -2, 2θ 26.11, I 100
hkl 0 1 2, 2θ 26.97, I 30
hkl 2 1 0, 2θ 28.78, I 31
hkl 1 0 -4, 2θ 30.03, I 34
hkl 2 0 2, 2θ 30.42, I 21
hkl 1 1 2, 2θ 31.07, I 16
hkl 0 2 0, 2θ 43.35, I 17
hkl 1 1 4, 2θ 44.44, I 18
hkl 2 1 -6, 2θ 50.46, I 16


3.
Diffraction record for ZnNiBiP2O9. The powder diffractogram is theoretical, not measured: it uses a DFT-relaxed cell (PBE+U, the Materials Project) and copper Kα.
Kinematic intensities with the Lorentz-polarization factor, no thermal factor.

Cell and atoms:
```
data_ZnNiBiP2O9
_cell_length_a 13.844
_cell_length_b 6.696
_cell_length_c 8.027
_cell_angle_alpha 90.00
_cell_angle_beta 90.00
_cell_angle_gamma 90.00
_symmetry_space_group_name_H-M 'P n m a'
_symmetry_Int_Tables_number 62
_symmetry_space_group_name_Hall '-P 2ac 2n'
loop_
_atom_site_label
_atom_site_type_symbol
_atom_site_fract_x
_atom_site_fract_y
_atom_site_fract_z
Zn1 Zn 0.209 0.250 0.034
Ni1 Ni 0.000 0.000 0.000
Bi1 Bi 0.116 0.250 0.641
P1 P 0.097 0.750 0.665
P2 P 0.173 0.750 0.138
O1 O 0.022 0.750 0.525
O2 O 0.051 0.750 0.838
O3 O 0.078 0.250 0.921
O4 O 0.113 0.555 0.139
O5 O 0.171 0.574 0.640
O6 O 0.238 0.750 0.297
O7 O 0.246 0.750 0.991
```

Largest 10 diffraction maxima, low angle first, 15 to 90 degrees two-theta:
hkl 2 0 1, 2θ 16.91, I 99
hkl 0 1 1, 2θ 17.25, I 70
hkl 2 1 0, 2θ 18.43, I 69
hkl 1 0 2, 2θ 23.07, I 100
hkl 3 1 1, 2θ 25.94, I 36
hkl 0 2 0, 2θ 26.64, I 86
hkl 1 2 1, 2θ 29.63, I 52
hkl 4 1 1, 2θ 31.15, I 37
hkl 2 2 1, 2θ 31.71, I 49
hkl 1 0 3, 2θ 34.17, I 43


4.
Diffraction record for LiFe2OF5. The powder diffractogram is theoretical, not measured: it uses a DFT-relaxed cell (PBE+U, the Materials Project) and copper Kα.
Kinematic intensities with the Lorentz-polarization factor, no thermal factor.

Cell and atoms:
```
data_LiFe2OF5
_cell_length_a 18.443
_cell_length_b 6.686
_cell_length_c 6.686
_cell_angle_alpha 90.00
_cell_angle_beta 90.00
_cell_angle_gamma 90.00
_symmetry_space_group_name_H-M 'A m a 2'
_symmetry_Int_Tables_number 40
_symmetry_space_group_name_Hall 'A 2 -2a'
loop_
_atom_site_label
_atom_site_type_symbol
_atom_site_fract_x
_atom_site_fract_y
_atom_site_fract_z
Li1 Li 0.000 0.000 0.000
Li2 Li 0.250 0.012 0.510
Fe1 Fe 0.080 0.496 0.024
Fe2 Fe 0.170 0.488 0.515
O1 O 0.000 0.000 0.698
O2 O 0.250 0.314 0.514
F1 F 0.000 0.000 0.311
F2 F 0.086 0.300 0.509
F3 F 0.089 0.197 0.009
F4 F 0.161 0.003 0.315
F5 F 0.164 0.003 0.712
F6 F 0.250 0.201 0.014
```

Largest 10 diffraction maxima, low angle first, 15 to 90 degrees two-theta:
hkl 4 0 0, 2θ 19.25, I 18
hkl 2 1 1, 2θ 21.12, I 70
hkl 0 0 2, 2θ 26.67, I 100
hkl 6 1 1, 2θ 34.81, I 38
hkl 6 0 2, 2θ 39.84, I 35
hkl 0 1 3, 2θ 42.77, I 13
hkl 2 1 3, 2θ 43.94, I 18
hkl 6 1 3, 2θ 52.53, I 65
hkl 0 0 4, 2θ 54.93, I 22
hkl 6 3 3, 2θ 66.70, I 27


5.
Diffraction record for KMgNi2H3Se2O10. The powder diffractogram is theoretical, not measured: it uses a DFT-relaxed cell (PBE+U, the Materials Project) and copper Kα.
Kinematic intensities with the Lorentz-polarization factor, no thermal factor.

Cell and atoms:
```
data_KMgNi2H3Se2O10
_cell_length_a 5.821
_cell_length_b 5.853
_cell_length_c 9.370
_cell_angle_alpha 74.22
_cell_angle_beta 74.60
_cell_angle_gamma 61.21
_symmetry_space_group_name_H-M 'P 1'
_symmetry_Int_Tables_number 1
_symmetry_space_group_name_Hall 'P 1'
loop_
_atom_site_label
_atom_site_type_symbol
_atom_site_fract_x
_atom_site_fract_y
_atom_site_fract_z
K1 K 0.000 0.000 0.000
Mg1 Mg 0.448 0.442 0.397
Ni1 Ni 0.440 0.909 0.566
Ni2 Ni 0.913 0.438 0.567
H1 H 0.186 0.194 0.331
H2 H 0.675 0.665 0.852
H3 H 0.853 0.845 0.666
Se1 Se 0.396 0.391 0.764
Se2 Se 0.643 0.634 0.123
O1 O 0.228 0.227 0.415
O2 O 0.247 0.726 0.738
O3 O 0.281 0.274 0.932
O4 O 0.309 0.305 0.630
O5 O 0.322 0.746 0.215
O6 O 0.598 0.583 0.955
O7 O 0.615 0.613 0.460
O8 O 0.732 0.243 0.738
O9 O 0.751 0.747 0.678
O10 O 0.759 0.315 0.218
```

Largest 10 diffraction maxima, low angle first, 15 to 90 degrees two-theta:
hkl 0 1 0, 2θ 17.58, I 100
hkl 1 1 0, 2θ 18.61, I 49
hkl 0 0 2, 2θ 19.95, I 35
hkl 1 1 2, 2θ 22.67, I 85
hkl 1 1 -1, 2θ 23.75, I 65
hkl 0 1 2, 2θ 24.29, I 38
hkl 1 0 2, 2θ 24.49, I 36
hkl 1 1 3, 2θ 30.09, I 32
hkl 1 1 -2, 2θ 31.48, I 35
hkl 1 -1 1, 2θ 31.82, I 31


6.
Diffraction record for Li2VGaO4. The powder diffractogram is theoretical, not measured: it uses a DFT-relaxed cell (PBE+U, the Materials Project) and copper Kα.
Kinematic intensities with the Lorentz-polarization factor, no thermal factor.

Cell and atoms:
```
data_Li2VGaO4
_cell_length_a 5.166
_cell_length_b 5.989
_cell_length_c 7.841
_cell_angle_alpha 79.41
_cell_angle_beta 71.34
_cell_angle_gamma 89.76
_symmetry_space_group_name_H-M 'P -1'
_symmetry_Int_Tables_number 2
_symmetry_space_group_name_Hall '-P 1'
loop_
_atom_site_label
_atom_site_type_symbol
_atom_site_fract_x
_atom_site_fract_y
_atom_site_fract_z
Li1 Li 0.000 0.080 0.167
Li2 Li 0.001 0.409 0.833
Li3 Li 0.003 0.756 0.496
V1 V 0.499 0.336 0.166
V2 V 0.500 0.500 0.500
Ga1 Ga 0.498 0.162 0.833
Ga2 Ga 0.500 0.000 0.500
O1 O 0.271 0.373 0.993
O2 O 0.274 0.201 0.663
O3 O 0.274 0.550 0.326
O4 O 0.275 0.044 0.329
O5 O 0.275 0.709 0.660
O6 O 0.276 0.878 0.996
```

Largest 10 diffraction maxima, low angle first, 15 to 90 degrees two-theta:
hkl 1 0 0, 2θ 18.16, I 100
hkl 0 2 -1, 2θ 35.05, I 15
hkl 0 2 2, 2θ 35.35, I 14
hkl 1 0 3, 2θ 35.52, I 14
hkl 2 0 0, 2θ 36.82, I 10
hkl 1 2 -1, 2θ 42.49, I 27
hkl -1 2 2, 2θ 42.93, I 26
hkl 2 0 3, 2θ 43.15, I 25
hkl 0 4 1, 2θ 62.02, I 22
hkl 1 -2 4, 2θ 62.28, I 14